[1]
The following is a calculated powder diffraction line list of CsEr6I12N. It was derived from a structure optimized by DFT (GGA-PBE), using λ = 1.5418 Å (Cu Kα).
Intensities are scaled so that the largest is 100.

Main lines, sorted by position (10° ≤ 2θ ≤ 90°):
h k l, Position (°2θ), intensity
1 0 1, 10.08, 45
3 -2 2, 25.80, 21
2 1 4, 29.88, 100
3 -2 8, 42.77, 63
4 2 2, 50.63, 19
0 0 12, 53.05, 18

Atomic structure:
Cell: 11.1941 11.1941 20.6900 Å, 90.00 90.00 120.00°
Space group R-3 (No. 148, hexagonal axes)
Symmetry-distinct sites (fractional):
Cs: 0.0000 0.0000 0.0000 x3
Er: 0.0386 0.1939 0.4307 x18
I: 0.0447 0.2370 0.6689 x18
I: 0.0556 0.2458 0.1650 x18
N: 0.0000 0.0000 0.5000 x3

=====

[2]
The following is a calculated powder diffraction line list of La4Mg3Fe2. It was derived from a structure optimized by DFT (GGA-PBE), using λ = 1.5418 Å (Cu Kα).
Intensities are scaled so that the largest is 100.

Main lines, sorted by position (10° ≤ 2θ ≤ 90°):
h k l, Position (°2θ), intensity
1 0 -1, 13.45, 38
0 1 0, 22.25, 39
2 0 -1, 23.32, 40
0 1 2, 31.92, 100
2 1 -1, 32.45, 92
2 1 1, 38.30, 44

Atomic structure:
Cell: 7.677 3.995 8.406 Å, 90.00 110.56 90.00°
Space group P2/m (No. 10)
Symmetry-distinct sites (fractional):
La: 0.101 0.000 0.226 x2
La: 0.393 0.000 0.688 x2
Mg: 0.000 0.500 0.500 x1
Mg: 0.291 0.500 0.001 x2
Fe: 0.359 0.500 0.404 x2